Li9Mn2Co5O16: theoretical powder diffraction line list (Cu Ka), based on a structure optimized by DFT (PBE+U).
Intensities are scaled so that the largest is 100.

Top 12 peaks for 10 to 90 degrees two-theta, low angle first:
Position (°2θ)  I/Imax  h k l
18.2  100  1 0 -2
35.1  15  3 0 2
36.2  24  1 1 2
37.6  7  2 1 0
42.4  27  4 0 0
43.8  52  0 1 4
47.4  13  3 1 -2
57.6  10  1 1 -6
62.5  14  4 1 -4
62.7  13  4 1 4
62.9  7  0 0 8
64.4  7  0 2 0

Crystal structure
```
Li9Mn2Co5O16
1.0
8.5252 0.0000 0.0000
0.0000 2.8929 0.0000
-0.0468 0.0000 11.8265
Li Mn Co O
9 2 5 16
direct
0.0000 0.0000 0.0000
0.0011 0.0000 0.4850
0.2380 0.5000 0.1220
0.2566 0.5000 0.6160
0.4959 0.0000 0.7501
0.4970 0.0000 0.2409
0.7414 0.5000 0.8807
0.7622 0.5000 0.3551
0.9977 0.0000 0.2415
0.9996 0.0000 0.7458
0.7425 0.5000 0.6150
0.2201 0.5000 0.3663
0.2590 0.5000 0.8681
0.4947 0.0000 0.4850
0.5019 0.0000 0.0009
0.7735 0.5000 0.1218
0.0007 0.5000 0.8565
0.0084 0.5000 0.3712
0.2486 0.0000 0.2580
0.2510 0.0000 0.4851
0.2527 0.0000 0.9808
0.2541 0.0000 0.7472
0.4958 0.5000 0.1128
0.4959 0.5000 0.3798
0.4955 0.5000 0.8758
0.5143 0.5000 0.5983
0.7333 0.0000 0.7253
0.7393 0.0000 0.0011
0.7454 0.0000 0.2321
0.7541 0.0000 0.5064
0.9751 0.5000 0.6317
0.9853 0.5000 0.1154
```